1.
Starting from a DFT-relaxed cell (PBE, Alexandria), the powder X-ray diffraction pattern of Sr2MgZn3Au6 was simulated for copper Kα.

Crystal structure
a b c (Å): 4.3282 4.3282 16.4768
angles (deg): 90.00 90.00 90.00
Space group P4/mmm (No. 123)
Unique sites:
Sr  0.0000  0.0000  0.2205 [2 per cell]
Mg  0.0000  0.0000  0.5000 [1 per cell]
Zn  0.5000  0.5000  0.0000 [1 per cell]
Zn  0.5000  0.5000  0.3072 [2 per cell]
Au  0.0000  0.5000  0.3971 [4 per cell]
Au  0.5000  0.5000  0.1519 [2 per cell]

Largest 8 diffraction maxima, in order of rising 2θ, 5° ≤ 2θ ≤ 70°:
hkl  two_theta  I/Imax
0 0 1  5.4  100.0
0 0 4  21.6  19.6
0 0 5  27.1  15.9
1 1 1  29.7  54.0
1 1 2  31.2  16.6
1 1 3  33.5  17.3
2 0 0  41.7  35.5
1 1 6  44.3  24.3


2.
Starting from a DFT-relaxed cell (PBE, Alexandria), the powder X-ray diffraction pattern of Ba3Sr2Ac was simulated for copper Kα.

Crystal structure
a b c (Å): 4.2654 4.2654 42.4735
angles (deg): 90.00 90.00 120.00
Space group P-6m2 (No. 187)
Unique sites:
Ba  0.0000  0.0000  0.0847 [2 per cell]
Ba  0.6667  0.3333  0.1721 [2 per cell]
Ba  0.6667  0.3333  0.3427 [2 per cell]
Sr  0.0000  0.0000  0.2570 [2 per cell]
Sr  0.6667  0.3333  0.0000 [1 per cell]
Sr  0.6667  0.3333  0.5000 [1 per cell]
Ac  0.0000  0.0000  0.4222 [2 per cell]

Largest 8 diffraction maxima, in order of rising 2θ, 5° ≤ 2θ ≤ 70°:
hkl  two_theta  I/Imax
1 0 0  24.1  25.5
0 0 12  25.2  22.6
1 0 6  27.2  100.0
1 0 12  35.1  15.1
1 1 0  42.4  21.2
1 0 18  45.6  16.0
1 1 12  49.9  21.0
2 0 6  51.1  20.1